# Mg2Al2Pd3
Computed XRD peak list, Cu Kα X-rays. Input: a cell relaxed with GGA-PBE.

a = 4.416 Å, b = 4.419 Å, c = 7.358 Å
α = 72.63°, β = 72.70°, γ = 60.25°
Sites, in units of the cell vectors:
Mg1 0.119 0.118 0.145
Mg2 0.881 0.882 0.855
Al1 0.373 0.372 0.382
Al2 0.627 0.628 0.618
Pd1 0.252 0.253 0.742
Pd2 0.500 0.500 0.000
Pd3 0.748 0.747 0.258

Principal peaks in the range 15° ≤ 2θ ≤ 90°, by angle:
24.78 deg, d = 3.593 Å, intensity 258; 28.95 deg, d = 3.084 Å, intensity 497; 29.06 deg, d = 3.072 Å, intensity 246; 40.70 deg, d = 2.217 Å, intensity 377; 40.86 deg, d = 2.209 Å, intensity 746; 42.11 deg, d = 2.146 Å, intensity 1000

# Mg2Al9Pd3
Computed XRD peak list, Cu Kα X-rays. Input: a cell relaxed with GGA-PBE.

a = 7.601 Å, b = 7.601 Å, c = 10.514 Å
α = 111.99°, β = 111.99°, γ = 58.60°
Sites, in units of the cell vectors:
Mg1 0.105 0.249 0.247
Mg2 0.249 0.105 0.747
Mg3 0.751 0.895 0.253
Mg4 0.895 0.751 0.753
Al1 0.020 0.870 0.086
Al2 0.130 0.980 0.414
Al3 0.188 0.367 0.577
Al4 0.219 0.577 0.249
Al5 0.303 0.488 0.934
Al6 0.348 0.652 0.750
Al7 0.367 0.188 0.077
Al8 0.423 0.781 0.251
Al9 0.488 0.303 0.434
Al10 0.512 0.697 0.566
Al11 0.577 0.219 0.749
Al12 0.633 0.812 0.923
Al13 0.652 0.348 0.250
Al14 0.697 0.512 0.066
Al15 0.781 0.423 0.751
Al16 0.812 0.633 0.423
Al17 0.870 0.020 0.586
Al18 0.980 0.130 0.914
Pd1 0.000 0.500 0.000
Pd2 0.157 0.666 0.491
Pd3 0.334 0.843 0.009
Pd4 0.500 0.000 0.500
Pd5 0.666 0.157 0.991
Pd6 0.843 0.334 0.509

Principal peaks in the range 15° ≤ 2θ ≤ 90°, by angle:
18.69 deg, d = 4.748 Å, intensity 1000; 23.42 deg, d = 3.799 Å, intensity 957; 30.00 deg, d = 2.979 Å, intensity 515; 30.26 deg, d = 2.954 Å, intensity 500; 30.53 deg, d = 2.928 Å, intensity 529; 41.77 deg, d = 2.163 Å, intensity 862

# Mg4AlPd
Computed XRD peak list, Cu Kα X-rays. Input: a cell relaxed with GGA-PBE.

a = 6.784 Å, b = 6.784 Å, c = 5.204 Å
α = 90.00°, β = 90.00°, γ = 90.00°
Sites, in units of the cell vectors:
Mg1 0.161 0.339 0.250
Mg2 0.161 0.661 0.750
Mg3 0.339 0.161 0.750
Mg4 0.339 0.839 0.250
Mg5 0.661 0.161 0.250
Mg6 0.661 0.839 0.750
Mg7 0.839 0.339 0.750
Mg8 0.839 0.661 0.250
Al1 0.000 0.000 0.500
Al2 0.500 0.500 0.000
Pd1 0.000 0.000 0.000
Pd2 0.500 0.500 0.500

Principal peaks in the range 15° ≤ 2θ ≤ 90°, by angle:
18.50 deg, d = 4.797 Å, intensity 1000; 21.52 deg, d = 4.129 Å, intensity 785; 34.21 deg, d = 2.621 Å, intensity 941; 39.39 deg, d = 2.287 Å, intensity 668; 42.12 deg, d = 2.145 Å, intensity 733; 43.85 deg, d = 2.065 Å, intensity 591

# Mg3AlPd2
Computed XRD peak list, Cu Kα X-rays. Input: a cell relaxed with GGA-PBE.

a = 8.145 Å, b = 8.145 Å, c = 8.145 Å
α = 139.97°, β = 57.48°, γ = 140.52°
Sites, in units of the cell vectors:
Mg1 0.182 0.209 0.391
Mg2 0.250 0.250 0.000
Mg3 0.318 0.709 0.028
Mg4 0.682 0.291 0.972
Mg5 0.750 0.750 0.000
Mg6 0.818 0.791 0.609
Al1 0.250 0.750 0.500
Al2 0.750 0.250 0.500
Pd1 0.124 0.708 0.833
Pd2 0.376 0.208 0.584
Pd3 0.624 0.792 0.416
Pd4 0.876 0.292 0.167

Principal peaks in the range 15° ≤ 2θ ≤ 90°, by angle:
24.94 deg, d = 3.571 Å, intensity 275; 25.95 deg, d = 3.434 Å, intensity 1000; 41.08 deg, d = 2.197 Å, intensity 299; 41.43 deg, d = 2.179 Å, intensity 368; 44.54 deg, d = 2.034 Å, intensity 432; 46.37 deg, d = 1.958 Å, intensity 279

# MgAl6Pd5
Computed XRD peak list, Cu Kα X-rays. Input: a cell relaxed with GGA-PBE.

a = 4.406 Å, b = 6.155 Å, c = 6.955 Å
α = 90.00°, β = 107.20°, γ = 90.00°
Sites, in units of the cell vectors:
Mg1 0.000 0.000 0.000
Al1 0.176 0.251 0.348
Al2 0.176 0.749 0.348
Al3 0.500 0.272 0.000
Al4 0.500 0.728 0.000
Al5 0.824 0.251 0.652
Al6 0.824 0.749 0.652
Pd1 0.000 0.500 0.000
Pd2 0.329 0.500 0.664
Pd3 0.347 0.000 0.693
Pd4 0.653 0.000 0.307
Pd5 0.671 0.500 0.336

Principal peaks in the range 15° ≤ 2θ ≤ 90°, by angle:
28.26 deg, d = 3.158 Å, intensity 279; 28.90 deg, d = 3.089 Å, intensity 264; 29.01 deg, d = 3.078 Å, intensity 271; 40.74 deg, d = 2.215 Å, intensity 316; 40.96 deg, d = 2.204 Å, intensity 1000; 41.41 deg, d = 2.180 Å, intensity 641

# MgAl2Pd5
Computed XRD peak list, Cu Kα X-rays. Input: a cell relaxed with GGA-PBE.

a = 5.447 Å, b = 10.688 Å, c = 4.118 Å
α = 90.00°, β = 90.00°, γ = 90.00°
Sites, in units of the cell vectors:
Mg1 0.000 0.000 0.000
Mg2 0.500 0.500 0.000
Al1 0.172 0.360 0.500
Al2 0.328 0.860 0.500
Al3 0.672 0.140 0.500
Al4 0.828 0.640 0.500
Pd1 0.000 0.500 0.000
Pd2 0.094 0.761 0.000
Pd3 0.197 0.113 0.500
Pd4 0.303 0.613 0.500
Pd5 0.406 0.261 0.000
Pd6 0.500 0.000 0.000
Pd7 0.594 0.739 0.000
Pd8 0.697 0.387 0.500
Pd9 0.803 0.887 0.500
Pd10 0.906 0.239 0.000

Principal peaks in the range 15° ≤ 2θ ≤ 90°, by angle:
31.98 deg, d = 2.798 Å, intensity 312; 39.68 deg, d = 2.271 Å, intensity 500; 40.23 deg, d = 2.241 Å, intensity 1000; 40.60 deg, d = 2.222 Å, intensity 563; 41.75 deg, d = 2.164 Å, intensity 276; 43.98 deg, d = 2.059 Å, intensity 415

# Mg3Al2Pd4
Computed XRD peak list, Cu Kα X-rays. Input: a cell relaxed with GGA-PBE.

a = 4.401 Å, b = 4.401 Å, c = 8.462 Å
α = 90.00°, β = 90.00°, γ = 120.00°
Sites, in units of the cell vectors:
Mg1 0.000 0.000 0.000
Mg2 0.333 0.667 0.427
Mg3 0.667 0.333 0.573
Al1 0.333 0.667 0.793
Al2 0.667 0.333 0.207
Pd1 0.000 0.000 0.323
Pd2 0.000 0.000 0.677
Pd3 0.333 0.667 0.109
Pd4 0.667 0.333 0.891

Principal peaks in the range 15° ≤ 2θ ≤ 90°, by angle:
25.63 deg, d = 3.475 Å, intensity 572; 31.59 deg, d = 2.832 Å, intensity 363; 39.76 deg, d = 2.267 Å, intensity 1000; 41.02 deg, d = 2.201 Å, intensity 932; 58.45 deg, d = 1.579 Å, intensity 315; 73.87 deg, d = 1.283 Å, intensity 308

# MgAl4Pd
Computed XRD peak list, Cu Kα X-rays. Input: a cell relaxed with GGA-PBE.

a = 4.826 Å, b = 6.377 Å, c = 7.400 Å
α = 102.13°, β = 94.77°, γ = 107.40°
Sites, in units of the cell vectors:
Mg1 0.032 0.341 0.289
Mg2 0.968 0.659 0.711
Al1 0.070 0.142 0.873
Al2 0.299 0.601 0.039
Al3 0.375 0.410 0.647
Al4 0.488 0.092 0.354
Al5 0.512 0.908 0.646
Al6 0.625 0.590 0.353
Al7 0.701 0.399 0.961
Al8 0.930 0.858 0.127
Pd1 0.000 0.000 0.500
Pd2 0.500 0.000 0.000

Principal peaks in the range 15° ≤ 2θ ≤ 90°, by angle:
15.03 deg, d = 5.896 Å, intensity 1000; 21.45 deg, d = 4.142 Å, intensity 427; 23.60 deg, d = 3.770 Å, intensity 415; 24.30 deg, d = 3.662 Å, intensity 437; 32.35 deg, d = 2.767 Å, intensity 385; 40.16 deg, d = 2.245 Å, intensity 520

# PrMgAl2Pd5
Computed XRD peak list, Cu Kα X-rays. Input: a cell relaxed with GGA-PBE.

a = 4.217 Å, b = 4.217 Å, c = 9.318 Å
α = 90.00°, β = 90.00°, γ = 90.00°
Sites, in units of the cell vectors:
Pr1 0.000 0.000 0.000
Mg1 0.000 0.000 0.500
Al1 0.500 0.500 0.364
Al2 0.500 0.500 0.636
Pd1 0.000 0.500 0.233
Pd2 0.000 0.500 0.767
Pd3 0.500 0.000 0.233
Pd4 0.500 0.000 0.767
Pd5 0.500 0.500 0.000

Principal peaks in the range 15° ≤ 2θ ≤ 90°, by angle:
35.75 deg, d = 2.511 Å, intensity 1000; 38.65 deg, d = 2.329 Å, intensity 160; 42.00 deg, d = 2.151 Å, intensity 221; 42.89 deg, d = 2.108 Å, intensity 363; 59.10 deg, d = 1.563 Å, intensity 181; 73.93 deg, d = 1.282 Å, intensity 231

# Y2MgAl4Pd3
Computed XRD peak list, Cu Kα X-rays. Input: a cell relaxed with GGA-PBE.

a = 4.151 Å, b = 4.151 Å, c = 11.230 Å
α = 90.00°, β = 90.00°, γ = 90.00°
Sites, in units of the cell vectors:
Y1 0.000 0.500 0.237
Y2 0.500 0.000 0.763
Mg1 0.000 0.000 0.500
Al1 0.000 0.000 0.000
Al2 0.000 0.500 0.650
Al3 0.500 0.000 0.350
Al4 0.500 0.500 0.000
Pd1 0.000 0.500 0.870
Pd2 0.500 0.000 0.130
Pd3 0.500 0.500 0.500

Principal peaks in the range 15° ≤ 2θ ≤ 90°, by angle:
31.50 deg, d = 2.840 Å, intensity 361; 32.20 deg, d = 2.780 Å, intensity 888; 34.48 deg, d = 2.601 Å, intensity 1000; 43.61 deg, d = 2.076 Å, intensity 664; 45.94 deg, d = 1.975 Å, intensity 452; 55.23 deg, d = 1.663 Å, intensity 369

# Pm5Mg4Al4
Computed XRD peak list, Cu Kα X-rays. Input: a cell relaxed with GGA-PBE.

a = 8.935 Å, b = 8.935 Å, c = 8.935 Å
α = 93.73°, β = 93.73°, γ = 150.45°
Sites, in units of the cell vectors:
Pm1 0.000 0.000 0.000
Pm2 0.298 0.370 0.668
Pm3 0.370 0.702 0.072
Pm4 0.630 0.298 0.928
Pm5 0.702 0.630 0.332
Mg1 0.106 0.581 0.687
Mg2 0.419 0.106 0.526
Mg3 0.581 0.894 0.474
Mg4 0.894 0.419 0.313
Al1 0.058 0.252 0.311
Al2 0.252 0.942 0.194
Al3 0.748 0.058 0.806
Al4 0.942 0.748 0.689

Principal peaks in the range 15° ≤ 2θ ≤ 90°, by angle:
25.45 deg, d = 3.500 Å, intensity 757; 29.41 deg, d = 3.037 Å, intensity 1000; 31.05 deg, d = 2.880 Å, intensity 304; 32.78 deg, d = 2.732 Å, intensity 462; 32.94 deg, d = 2.719 Å, intensity 714; 37.54 deg, d = 2.396 Å, intensity 316

# Pm9MgAl2
Computed XRD peak list, Cu Kα X-rays. Input: a cell relaxed with GGA-PBE.

a = 4.913 Å, b = 4.913 Å, c = 14.725 Å
α = 90.00°, β = 90.00°, γ = 90.00°
Sites, in units of the cell vectors:
Pm1 0.000 0.000 0.000
Pm2 0.000 0.000 0.335
Pm3 0.000 0.000 0.665
Pm4 0.000 0.500 0.174
Pm5 0.000 0.500 0.500
Pm6 0.000 0.500 0.826
Pm7 0.500 0.000 0.174
Pm8 0.500 0.000 0.500
Pm9 0.500 0.000 0.826
Mg1 0.500 0.500 0.000
Al1 0.500 0.500 0.336
Al2 0.500 0.500 0.664

Principal peaks in the range 15° ≤ 2θ ≤ 90°, by angle:
18.06 deg, d = 4.912 Å, intensity 190; 25.65 deg, d = 3.473 Å, intensity 168; 31.55 deg, d = 2.836 Å, intensity 1000; 36.59 deg, d = 2.456 Å, intensity 502; 52.71 deg, d = 1.737 Å, intensity 348; 62.74 deg, d = 1.481 Å, intensity 408